# TbNd2Sm2Er2
Computed powder X-ray diffraction pattern, copper Kα. Input: a structure optimized by DFT (GGA-PBE).
Peak positions follow from Bragg's law for the DFT cell and can differ from measured ones.

The 10 most intense peaks (15° ≤ 2θ ≤ 90°), by intensity:
two_theta  d_spacing  I/Imax  h k l
30.43  2.938  100  1 1 2
60.33  1.534  43  7 1 0
50.75  1.799  36  4 2 1
35.27  2.545  34  4 0 1
82.66  1.167  18  7 3 0
35.29  2.543  17  0 2 0
85.31  1.138  16  8 2 2
63.30  1.469  6  6 2 -2
63.34  1.468  6  2 2 4
74.61  1.272  6  8 0 2

```
data_TbNd2Sm2Er2
_space_group_name_H-M_alt 'C 1 2/m 1'
_space_group_IT_number 12
_cell_length_a 11.384
_cell_length_b 5.086
_cell_length_c 8.044
_cell_angle_alpha 90.00
_cell_angle_beta 98.16
_cell_angle_gamma 90.00
loop_
_space_group_symop_operation_xyz
'x,y,z'
'-x,-y,-z'
'-x,y,-z'
'x,-y,z'
'x+1/2,y+1/2,z'
'-x+1/2,-y+1/2,-z'
'-x+1/2,y+1/2,-z'
'x+1/2,-y+1/2,z'
loop_
_atom_site_label
_atom_site_type_symbol
_atom_site_fract_x
_atom_site_fract_y
_atom_site_fract_z
Tb1 Tb 0.000 0.000 0.000
Nd1 Nd 0.143 0.000 0.428
Sm1 Sm 0.071 0.500 0.719
Er1 Er 0.215 0.500 0.140
```

# Mn3Cr8CuS16
Computed powder X-ray diffraction pattern, copper Kα. Input: a structure optimized by DFT (GGA-PBE).
Peak positions follow from Bragg's law for the DFT cell and can differ from measured ones.

The 10 most intense peaks (15° ≤ 2θ ≤ 90°), by intensity:
two_theta  d_spacing  I/Imax  h k l
29.48  3.030  100  2 0 2
51.45  1.776  92  2 2 0
35.75  2.512  53  2 0 8
46.99  1.934  49  3 0 6
25.07  3.552  34  1 1 0
15.27  5.801  14  0 0 6
75.73  1.256  13  4 0 16
44.16  2.051  12  3 0 0
72.19  1.309  12  1 4 6
60.38  1.533  9  0 4 2

```
data_Mn3Cr8CuS16
_space_group_name_H-M_alt 'R 3 m'
_space_group_IT_number 160
_space_group_name_Hall 'R 3 -2"'
_cell_length_a 7.1099
_cell_length_b 7.1099
_cell_length_c 34.7563
_cell_angle_alpha 90.00
_cell_angle_beta 90.00
_cell_angle_gamma 120.00
loop_
_atom_site_label
_atom_site_type_symbol
_atom_site_fract_x
_atom_site_fract_y
_atom_site_fract_z
Mn1 Mn 0.0000 0.0000 0.0000
Mn2 Mn 0.0000 0.0000 0.1249
Mn3 Mn 0.0000 0.0000 0.6252
Cr1 Cr 0.0000 0.0000 0.3122
Cr2 Cr 0.0000 0.0000 0.8149
Cr3 Cr 0.0026 0.5013 0.0638
Cr4 Cr 0.0033 0.5016 0.5611
Cu1 Cu 0.0000 0.0000 0.5001
S1 S 0.0000 0.0000 0.1923
S2 S 0.0000 0.0000 0.4337
S3 S 0.0000 0.0000 0.6934
S4 S 0.0000 0.0000 0.9320
S5 S 0.0278 0.5139 0.9353
S6 S 0.0287 0.5143 0.4367
S7 S 0.1772 0.3545 0.5224
S8 S 0.1809 0.3617 0.0230
```

# LiNd4Pt
Computed powder X-ray diffraction pattern, copper Kα. Input: a structure optimized by DFT (GGA-PBE).
Peak positions follow from Bragg's law for the DFT cell and can differ from measured ones.

The 10 most intense peaks (15° ≤ 2θ ≤ 90°), by intensity:
two_theta  d_spacing  I/Imax  h k l
26.52  3.362  100  2 0 2
45.95  1.975  48  3 3 2
35.97  2.497  46  3 1 2
30.96  2.888  38  3 1 0
19.44  4.566  33  2 0 0
36.17  2.483  24  0 0 4
48.34  1.883  19  3 1 4
39.47  2.283  18  4 0 0
23.55  3.777  17  2 1 1
54.60  1.681  13  4 0 4

```
data_LiNd4Pt
_space_group_name_H-M_alt 'I 41 m d'
_space_group_IT_number 109
_space_group_name_Hall 'I 4bw -2'
_cell_length_a 9.133
_cell_length_b 9.133
_cell_length_c 9.934
_cell_angle_alpha 90.00
_cell_angle_beta 90.00
_cell_angle_gamma 90.00
loop_
_atom_site_label
_atom_site_type_symbol
_atom_site_fract_x
_atom_site_fract_y
_atom_site_fract_z
Li1 Li 0.000 0.000 0.000
Nd1 Nd 0.000 0.308 0.517
Nd2 Nd 0.000 0.312 0.984
Pt1 Pt 0.000 0.000 0.502
```

# Cs12K6Se
Computed powder X-ray diffraction pattern, copper Kα. Input: a structure optimized by DFT (GGA-PBE).
Peak positions follow from Bragg's law for the DFT cell and can differ from measured ones.

The 10 most intense peaks (15° ≤ 2θ ≤ 90°), by intensity:
two_theta  d_spacing  I/Imax  h k l
22.12  4.019  100  3 0 3
23.53  3.781  72  1 4 0
23.86  3.729  62  2 2 3
37.84  2.377  50  8 -2 1
40.08  2.250  43  5 -4 6
18.17  4.883  38  2 -1 3
22.99  3.869  36  5 -2 1
19.21  4.621  36  4 -3 1
15.34  5.777  28  3 0 0
21.79  4.078  26  1 0 4

```
data_Cs12K6Se
_space_group_name_H-M_alt 'R -3'
_space_group_IT_number 148
_space_group_name_Hall '-R 3'
_cell_length_a 20.0117
_cell_length_b 20.0117
_cell_length_c 16.7835
_cell_angle_alpha 90.00
_cell_angle_beta 90.00
_cell_angle_gamma 120.00
loop_
_atom_site_label
_atom_site_type_symbol
_atom_site_fract_x
_atom_site_fract_y
_atom_site_fract_z
Cs1 Cs 0.0413 0.1658 0.3897
Cs2 Cs 0.0731 0.2376 0.0883
K1 K 0.0545 0.2557 0.7739
Se1 Se 0.0000 0.0000 0.5000
```